Entry 1:
Theoretical powder X-ray diffraction pattern
Compound: K2RbTaSe4
Radiation: Cu Ka
Structure: a structure optimized by DFT (PBE)

Crystal structure
Cell: 8.1339 8.1339 8.4198 Å, 90.00 90.00 90.00°
Space group I-42m (No. 121)
Inequivalent atoms, fractional coordinates:
K1 0.0000 0.5000 0.0000 x4
Rb1 0.0000 0.0000 0.0000 x2
Ta1 0.0000 0.0000 0.5000 x2
Se1 0.1729 0.1729 0.6656 x8

Peak list (6 most intense, 2θ from 10° to 90°, sorted by position)
- (1 0 1), 15.15 deg, 5.850 Å, rel. 78
- (1 1 0), 15.41 deg, 5.752 Å, rel. 84
- (1 1 2), 26.23 deg, 3.397 Å, rel. 54
- (2 1 1), 26.70 deg, 3.339 Å, rel. 64
- (2 0 2), 30.56 deg, 2.925 Å, rel. 100
- (2 2 0), 31.10 deg, 2.876 Å, rel. 51

Entry 2:
Theoretical powder X-ray diffraction pattern
Compound: KRbZnSn
Radiation: Cu Ka
Structure: a structure optimized by DFT (PBE)

Crystal structure
Cell: 6.8530 6.5672 7.0833 Å, 90.00 107.00 90.00°
Space group P2_1/m (No. 11)
Inequivalent atoms, fractional coordinates:
K1 0.1774 0.2500 0.0098 x2
Rb1 0.4776 0.7500 0.3234 x2
Zn1 0.0000 0.0000 0.5000 x2
Sn1 0.2389 0.7500 0.7555 x2

Peak list (6 most intense, 2θ from 10° to 90°, sorted by position)
- (1 0 -1), 15.83 deg, 5.598 Å, rel. 59
- (1 1 0), 19.13 deg, 4.639 Å, rel. 47
- (1 1 1), 25.42 deg, 3.504 Å, rel. 43
- (1 1 -2), 29.25 deg, 3.053 Å, rel. 100
- (2 1 -1), 29.87 deg, 2.991 Å, rel. 84
- (1 2 1), 34.86 deg, 2.574 Å, rel. 66

Entry 3:
Theoretical powder X-ray diffraction pattern
Compound: K3ReS4
Radiation: Cu Ka
Structure: a structure optimized by DFT (PBE)

Crystal structure
Cell: 10.6719 11.3216 7.6758 Å, 90.00 90.00 90.00°
Space group Cmc2_1 (No. 36)
Inequivalent atoms, fractional coordinates:
K1 0.0000 0.1983 0.0000 x4
K2 0.2208 0.4678 0.9914 x8
Re1 0.0000 0.2549 0.5004 x4
S1 0.0000 0.0777 0.6301 x4
S2 0.0000 0.3994 0.6996 x4
S3 0.1698 0.2720 0.3321 x8

Peak list (6 most intense, 2θ from 10° to 90°, sorted by position)
- (0 2 0), 15.65 deg, 5.661 Å, rel. 28
- (1 1 1), 16.24 deg, 5.459 Å, rel. 100
- (2 0 0), 16.61 deg, 5.336 Å, rel. 25
- (2 2 0), 22.90 deg, 3.883 Å, rel. 37
- (1 3 1), 27.63 deg, 3.228 Å, rel. 27
- (2 2 2), 32.81 deg, 2.730 Å, rel. 58

Entry 4:
Theoretical powder X-ray diffraction pattern
Compound: KTbReS4
Radiation: Cu Ka
Structure: a structure optimized by DFT (PBE)

Crystal structure
Cell: 6.5476 6.5393 8.6627 Å, 90.00 109.28 90.00°
Space group P2_1 (No. 4)
Inequivalent atoms, fractional coordinates:
K1 0.2395 0.0000 0.0518 x2
Tb1 0.2101 0.0098 0.5439 x2
Re1 0.2761 0.5241 0.3476 x2
S1 0.0071 0.2552 0.7101 x2
S2 0.0076 0.2710 0.2899 x2
S3 0.4297 0.4560 0.1591 x2
S4 0.4851 0.3602 0.5860 x2

Peak list (6 most intense, 2θ from 10° to 90°, sorted by position)
- (0 0 1), 10.82 deg, 8.177 Å, rel. 100
- (0 1 1), 17.36 deg, 5.107 Å, rel. 47
- (0 1 2), 25.70 deg, 3.466 Å, rel. 44
- (0 2 0), 27.28 deg, 3.270 Å, rel. 23
- (2 1 -2), 32.99 deg, 2.716 Å, rel. 45
- (2 2 0), 40.15 deg, 2.246 Å, rel. 24

Entry 5:
Theoretical powder X-ray diffraction pattern
Compound: K5ReSb2
Radiation: Cu Ka
Structure: a structure optimized by DFT (PBE)

Crystal structure
Cell: 6.0619 6.0619 28.7807 Å, 90.00 90.00 120.00°
Space group R-3m (No. 166, hexagonal axes)
Inequivalent atoms, fractional coordinates:
K1 0.0000 0.0000 0.0000 x3
K2 0.0000 0.0000 0.1351 x6
K3 0.0000 0.0000 0.2779 x6
Re1 0.0000 0.0000 0.5000 x3
Sb1 0.0000 0.0000 0.4078 x6

Peak list (6 most intense, 2θ from 10° to 90°, sorted by position)
- (1 0 1), 17.17 deg, 5.165 Å, rel. 83
- (0 1 2), 17.99 deg, 4.932 Å, rel. 44
- (1 1 0), 29.47 deg, 3.031 Å, rel. 100
- (0 1 8), 30.11 deg, 2.968 Å, rel. 20
- (1 0 10), 35.57 deg, 2.524 Å, rel. 25
- (1 1 9), 41.03 deg, 2.200 Å, rel. 21

Entry 6:
Theoretical powder X-ray diffraction pattern
Compound: K3ReSe4
Radiation: Cu Ka
Structure: a structure optimized by DFT (PBE)

Crystal structure
Cell: 11.7351 11.7351 13.2066 Å, 90.00 90.00 120.00°
Space group R3c (No. 161, hexagonal axes)
Inequivalent atoms, fractional coordinates:
K1 0.1280 0.3414 0.0000 x18
Re1 0.0000 0.0000 0.1554 x6
Se1 0.0000 0.0000 0.3337 x6
Se2 0.1981 0.4469 0.2650 x18

Peak list (6 most intense, 2θ from 10° to 90°, sorted by position)
- (1 1 0), 15.10 deg, 5.868 Å, rel. 100
- (0 1 2), 16.01 deg, 5.537 Å, rel. 83
- (1 2 2), 26.85 deg, 3.320 Å, rel. 47
- (2 2 0), 30.47 deg, 2.934 Å, rel. 44
- (0 2 4), 32.34 deg, 2.769 Å, rel. 50
- (0 3 6), 49.39 deg, 1.845 Å, rel. 47